No. 1
Diffraction record for Ta5Nb5Si6. The powder X-ray diffraction pattern is computed, not measured: it uses a crystal structure in the Materials Project, relaxed with PBE and Cu Ka.
Peak positions follow from Bragg's law for the DFT cell and can differ from measured ones.

Top 10 peaks for 2θ from 15° to 90°, sorted by position:
2θ 17.61, 5.035 Å, rel. 28; 2θ 26.40, 3.376 Å, rel. 44; 2θ 28.04, 3.183 Å, rel. 61; 2θ 35.69, 2.516 Å, rel. 23; 2θ 36.70, 2.449 Å, rel. 78; 2θ 37.45, 2.401 Å, rel. 25; 2θ 39.61, 2.275 Å, rel. 48; 2θ 40.06, 2.251 Å, rel. 68; 2θ 40.98, 2.202 Å, rel. 100; 2θ 43.66, 2.073 Å, rel. 71

Structure:
Cell lengths 7.556, 7.556, 10.060 Å; angles 131.66, 131.66, 39.47 degrees
Element x y z (fractional)
Ta: 0.000 0.000 0.000
Ta: 0.151 0.151 0.591
Ta: 0.325 0.826 0.795
Ta: 0.500 0.500 0.440
Ta: 0.826 0.325 0.795
Nb: 0.295 0.295 0.439
Nb: 0.356 0.356 0.000
Nb: 0.651 0.651 0.151
Nb: 0.795 0.795 0.591
Nb: 0.856 0.856 0.152
Si: 0.240 0.240 0.125
Si: 0.325 0.826 0.296
Si: 0.411 0.411 0.795
Si: 0.740 0.740 0.795
Si: 0.826 0.325 0.296
Si: 0.911 0.911 0.467

=====

No. 2
Diffraction record for Ho2GaAg. The powder X-ray diffraction pattern is computed, not measured: it uses a crystal structure in the Materials Project, relaxed with PBE and Cu Ka.
Peak positions follow from Bragg's law for the DFT cell and can differ from measured ones.

Top 10 peaks for 2θ from 15° to 90°, sorted by position:
2θ 21.35, 4.162 Å, rel. 1; 2θ 24.70, 3.604 Å, rel. 9; 2θ 35.22, 2.549 Å, rel. 100; 2θ 43.49, 2.081 Å, rel. 3; 2θ 50.66, 1.802 Å, rel. 18; 2θ 57.15, 1.612 Å, rel. 4; 2θ 63.19, 1.471 Å, rel. 36; 2θ 74.46, 1.274 Å, rel. 11; 2θ 79.84, 1.201 Å, rel. 2; 2θ 85.13, 1.140 Å, rel. 16

Structure:
Cell lengths 5.097, 5.097, 5.097 Å; angles 60.00, 60.00, 60.00 degrees
Element x y z (fractional)
Ho: 0.250 0.250 0.250
Ho: 0.750 0.750 0.750
Ga: 0.000 0.000 0.000
Ag: 0.500 0.500 0.500

=====

No. 3
Diffraction record for UGePt. The powder X-ray diffraction pattern is computed, not measured: it uses a crystal structure in the Materials Project, relaxed with PBE and Cu Ka.
Peak positions follow from Bragg's law for the DFT cell and can differ from measured ones.

Top 10 peaks for 2θ from 15° to 90°, sorted by position:
2θ 23.39, 3.804 Å, rel. 19; 2θ 33.65, 2.663 Å, rel. 13; 2θ 34.66, 2.588 Å, rel. 100; 2θ 40.10, 2.249 Å, rel. 7; 2θ 41.10, 2.196 Å, rel. 56; 2θ 54.83, 1.674 Å, rel. 23; 2θ 66.72, 1.402 Å, rel. 9; 2θ 68.15, 1.376 Å, rel. 16; 2θ 70.76, 1.331 Å, rel. 19; 2θ 74.90, 1.268 Å, rel. 14

Structure:
Cell lengths 5.635, 5.635, 5.635 Å; angles 134.13, 102.41, 95.10 degrees
Element x y z (fractional)
U: 0.000 0.000 0.000
U: 0.568 0.068 0.500
Ge: 0.155 0.375 0.780
Ge: 0.595 0.375 0.220
Pt: 0.416 0.705 0.711
Pt: 0.994 0.705 0.289

=====

No. 4
Diffraction record for Cs8Na4Y3HoCl24. The powder X-ray diffraction pattern is computed, not measured: it uses a crystal structure in the Materials Project, relaxed with PBE and Cu Ka.
Peak positions follow from Bragg's law for the DFT cell and can differ from measured ones.

Top 10 peaks for 2θ from 15° to 90°, sorted by position:
2θ 23.09, 3.852 Å, rel. 100; 2θ 28.38, 3.145 Å, rel. 47; 2θ 32.88, 2.724 Å, rel. 73; 2θ 40.56, 2.224 Å, rel. 46; 2θ 47.19, 1.926 Å, rel. 50; 2θ 53.17, 1.723 Å, rel. 22; 2θ 55.99, 1.642 Å, rel. 17; 2θ 58.71, 1.573 Å, rel. 17; 2θ 63.94, 1.456 Å, rel. 25; 2θ 78.53, 1.218 Å, rel. 21

Structure:
Cell lengths 7.704, 7.704, 21.790 Å; angles 90.00, 90.00, 90.00 degrees
Element x y z (fractional)
Cs: 0.000 0.500 0.125
Cs: 0.000 0.500 0.375
Cs: 0.000 0.500 0.625
Cs: 0.000 0.500 0.875
Cs: 0.500 0.000 0.125
Cs: 0.500 0.000 0.375
Cs: 0.500 0.000 0.625
Cs: 0.500 0.000 0.875
Na: 0.000 0.000 0.000
Na: 0.000 0.000 0.500
Na: 0.500 0.500 0.250
Na: 0.500 0.500 0.750
Y: 0.000 0.000 0.250
Y: 0.000 0.000 0.750
Y: 0.500 0.500 0.000
Ho: 0.500 0.500 0.500
Cl: 0.000 0.000 0.129
Cl: 0.000 0.000 0.372
Cl: 0.000 0.000 0.628
Cl: 0.000 0.000 0.871
Cl: 0.243 0.243 0.250
Cl: 0.243 0.243 0.750
Cl: 0.243 0.757 0.250
Cl: 0.243 0.757 0.750
Cl: 0.257 0.257 0.000
Cl: 0.257 0.743 0.000
Cl: 0.259 0.259 0.500
Cl: 0.259 0.741 0.500
Cl: 0.500 0.500 0.121
Cl: 0.500 0.500 0.379
Cl: 0.500 0.500 0.621
Cl: 0.500 0.500 0.879
Cl: 0.741 0.259 0.500
Cl: 0.741 0.741 0.500
Cl: 0.743 0.257 0.000
Cl: 0.743 0.743 0.000
Cl: 0.757 0.243 0.250
Cl: 0.757 0.243 0.750
Cl: 0.757 0.757 0.250
Cl: 0.757 0.757 0.750

=====

No. 5
Diffraction record for SmC6N9. The powder X-ray diffraction pattern is computed, not measured: it uses a crystal structure in the Materials Project, relaxed with PBE and Cu Ka.
Peak positions follow from Bragg's law for the DFT cell and can differ from measured ones.

Top 10 peaks for 2θ from 15° to 90°, sorted by position:
2θ 16.00, 5.538 Å, rel. 100; 2θ 16.74, 5.296 Å, rel. 21; 2θ 21.65, 4.105 Å, rel. 19; 2θ 26.61, 3.350 Å, rel. 31; 2θ 28.77, 3.103 Å, rel. 32; 2θ 30.43, 2.938 Å, rel. 16; 2θ 32.33, 2.769 Å, rel. 14; 2θ 35.97, 2.497 Å, rel. 13; 2θ 36.57, 2.457 Å, rel. 14; 2θ 44.10, 2.054 Å, rel. 16

Structure:
Cell lengths 7.101, 7.101, 10.593 Å; angles 90.00, 90.00, 113.80 degrees
Element x y z (fractional)
Sm: 0.216 0.784 0.750
Sm: 0.784 0.216 0.250
C: 0.058 0.232 0.750
C: 0.208 0.500 0.054
C: 0.208 0.500 0.446
C: 0.232 0.058 0.250
C: 0.500 0.208 0.554
C: 0.500 0.208 0.946
C: 0.500 0.792 0.054
C: 0.500 0.792 0.446
C: 0.768 0.942 0.750
C: 0.792 0.500 0.554
C: 0.792 0.500 0.946
C: 0.942 0.768 0.250
N: 0.032 0.968 0.250
N: 0.075 0.358 0.101
N: 0.075 0.358 0.399
N: 0.148 0.412 0.750
N: 0.346 0.654 0.505
N: 0.346 0.654 0.995
N: 0.358 0.075 0.601
N: 0.358 0.075 0.899
N: 0.412 0.148 0.250
N: 0.588 0.852 0.750
N: 0.642 0.925 0.101
N: 0.642 0.925 0.399
N: 0.654 0.346 0.005
N: 0.654 0.346 0.495
N: 0.852 0.588 0.250
N: 0.925 0.642 0.601
N: 0.925 0.642 0.899
N: 0.968 0.032 0.750